[1]
Structure and computed powder X-ray diffraction pattern of SrTl2Pt (a cell relaxed with PBE; a wavelength of 1.5418 Å).

Atomic structure:
Unit cell a=3.764 b=3.764 c=7.719 alpha=90.00 beta=90.00 gamma=90.00
Fractional coordinates of all 4 atoms:
Sr1 0.000 0.000 0.000
Tl1 0.000 0.000 0.584
Tl2 0.500 0.500 0.325
Pt1 0.500 0.500 0.769

Largest 12 diffraction maxima, low angle first, 15 to 90 degrees two-theta:
| 2theta | I_rel |
| --- | --- |
| 33.2 | 100.0 |
| 33.7 | 58.0 |
| 35.7 | 7.7 |
| 42.6 | 16.5 |
| 48.4 | 21.3 |
| 59.1 | 10.7 |
| 59.9 | 40.2 |
| 66.4 | 9.0 |
| 69.8 | 6.6 |
| 70.8 | 6.9 |
| 80.5 | 12.7 |
| 80.7 | 9.8 |

=====

[2]
Structure and computed powder X-ray diffraction pattern of Sr3Tl4Pt4 (a cell relaxed with PBE; a wavelength of 1.5418 Å).

Atomic structure:
Unit cell a=8.956 b=8.956 c=8.956 alpha=151.11 beta=125.35 gamma=62.99
Fractional coordinates of all 11 atoms:
Sr1 0.000 0.000 0.000
Sr2 0.377 0.877 0.500
Sr3 0.623 0.123 0.500
Tl1 0.031 0.332 0.699
Tl2 0.367 0.668 0.699
Tl3 0.633 0.332 0.301
Tl4 0.969 0.668 0.301
Pt1 0.218 0.218 0.000
Pt2 0.330 0.500 0.830
Pt3 0.670 0.500 0.170
Pt4 0.782 0.782 0.000

Largest 12 diffraction maxima, low angle first, 15 to 90 degrees two-theta:
| 2theta | I_rel |
| --- | --- |
| 20.5 | 30.4 |
| 20.7 | 34.6 |
| 30.1 | 79.4 |
| 32.7 | 67.4 |
| 34.5 | 39.5 |
| 35.3 | 24.9 |
| 37.3 | 36.1 |
| 40.4 | 100.0 |
| 41.7 | 20.5 |
| 42.0 | 33.7 |
| 56.1 | 22.4 |
| 65.2 | 18.0 |

=====

[3]
Structure and computed powder X-ray diffraction pattern of SrTl4Pt2 (a cell relaxed with PBE; a wavelength of 1.5418 Å).

Atomic structure:
Unit cell a=19.601 b=4.442 c=8.143 alpha=90.00 beta=90.00 gamma=90.00
Fractional coordinates of all 28 atoms:
Sr1 0.143 0.250 0.065
Sr2 0.357 0.750 0.565
Sr3 0.643 0.250 0.435
Sr4 0.857 0.750 0.935
Tl1 0.030 0.750 0.855
Tl2 0.073 0.250 0.514
Tl3 0.187 0.750 0.762
Tl4 0.190 0.750 0.356
Tl5 0.310 0.250 0.856
Tl6 0.313 0.250 0.262
Tl7 0.427 0.750 0.014
Tl8 0.470 0.250 0.355
Tl9 0.530 0.750 0.645
Tl10 0.573 0.250 0.986
Tl11 0.687 0.750 0.738
Tl12 0.690 0.750 0.144
Tl13 0.810 0.250 0.644
Tl14 0.813 0.250 0.238
Tl15 0.927 0.750 0.486
Tl16 0.970 0.250 0.145
Pt1 0.047 0.750 0.273
Pt2 0.226 0.250 0.561
Pt3 0.274 0.750 0.061
Pt4 0.453 0.250 0.773
Pt5 0.547 0.750 0.227
Pt6 0.726 0.250 0.939
Pt7 0.774 0.750 0.439
Pt8 0.953 0.250 0.727

Largest 12 diffraction maxima, low angle first, 15 to 90 degrees two-theta:
| 2theta | I_rel |
| --- | --- |
| 30.1 | 63.0 |
| 31.2 | 100.0 |
| 32.4 | 64.6 |
| 33.9 | 37.4 |
| 34.1 | 32.5 |
| 37.7 | 29.3 |
| 37.9 | 22.6 |
| 39.0 | 22.7 |
| 40.0 | 48.0 |
| 40.6 | 65.7 |
| 40.8 | 46.8 |
| 60.4 | 21.1 |

=====

[4]
Structure and computed powder X-ray diffraction pattern of SrVPt (a cell relaxed with PBE; a wavelength of 1.5418 Å).

Atomic structure:
Unit cell a=6.371 b=6.025 c=8.083 alpha=90.00 beta=112.10 gamma=90.00
Fractional coordinates of all 12 atoms:
Sr1 0.179 0.126 0.373
Sr2 0.179 0.374 0.873
Sr3 0.821 0.626 0.127
Sr4 0.821 0.874 0.627
V1 0.410 0.620 0.305
V2 0.410 0.880 0.805
V3 0.590 0.120 0.195
V4 0.590 0.380 0.695
Pt1 0.241 0.623 0.540
Pt2 0.241 0.877 0.040
Pt3 0.759 0.123 0.960
Pt4 0.759 0.377 0.460

Largest 12 diffraction maxima, low angle first, 15 to 90 degrees two-theta:
| 2theta | I_rel |
| --- | --- |
| 18.9 | 76.4 |
| 21.1 | 52.6 |
| 23.8 | 33.4 |
| 28.1 | 32.0 |
| 30.3 | 59.5 |
| 30.7 | 50.9 |
| 33.5 | 100.0 |
| 34.2 | 39.4 |
| 36.1 | 34.9 |
| 36.6 | 53.8 |
| 37.5 | 93.9 |
| 39.7 | 32.7 |

=====

[5]
Structure and computed powder X-ray diffraction pattern of Sr6ZnPt (a cell relaxed with PBE; a wavelength of 1.5418 Å).

Atomic structure:
Unit cell a=7.584 b=7.584 c=14.470 alpha=90.00 beta=90.00 gamma=120.00
Fractional coordinates of all 16 atoms:
Sr1 0.006 0.326 0.121
Sr2 0.006 0.680 0.379
Sr3 0.320 0.326 0.379
Sr4 0.320 0.994 0.121
Sr5 0.326 0.006 0.621
Sr6 0.326 0.320 0.879
Sr7 0.674 0.680 0.121
Sr8 0.674 0.994 0.379
Sr9 0.680 0.006 0.879
Sr10 0.680 0.674 0.621
Sr11 0.994 0.320 0.621
Sr12 0.994 0.674 0.879
Zn1 0.333 0.667 0.750
Zn2 0.667 0.333 0.250
Pt1 0.000 0.000 0.000
Pt2 0.000 0.000 0.500

Largest 12 diffraction maxima, low angle first, 15 to 90 degrees two-theta:
| 2theta | I_rel |
| --- | --- |
| 18.2 | 57.4 |
| 26.5 | 100.0 |
| 29.9 | 16.9 |
| 34.3 | 65.1 |
| 38.3 | 18.7 |
| 41.2 | 43.0 |
| 44.5 | 25.6 |
| 49.7 | 17.1 |
| 54.7 | 16.7 |
| 66.5 | 13.8 |
| 67.1 | 19.5 |
| 70.7 | 15.1 |

=====

[6]
Structure and computed powder X-ray diffraction pattern of Sr3ZnPt3 (a cell relaxed with PBE; a wavelength of 1.5418 Å).

Atomic structure:
Unit cell a=5.936 b=5.936 c=14.439 alpha=90.00 beta=90.00 gamma=136.44
Fractional coordinates of all 14 atoms:
Sr1 0.000 0.000 0.250
Sr2 0.000 0.000 0.750
Sr3 0.283 0.717 0.605
Sr4 0.283 0.717 0.895
Sr5 0.717 0.283 0.105
Sr6 0.717 0.283 0.395
Zn1 0.000 0.000 0.000
Zn2 0.000 0.000 0.500
Pt1 0.303 0.697 0.250
Pt2 0.427 0.573 0.083
Pt3 0.427 0.573 0.417
Pt4 0.573 0.427 0.583
Pt5 0.573 0.427 0.917
Pt6 0.697 0.303 0.750

Largest 12 diffraction maxima, low angle first, 15 to 90 degrees two-theta:
| 2theta | I_rel |
| --- | --- |
| 17.2 | 44.7 |
| 20.3 | 26.3 |
| 21.7 | 40.2 |
| 22.6 | 23.3 |
| 31.7 | 24.7 |
| 33.1 | 33.9 |
| 36.9 | 100.0 |
| 37.4 | 32.7 |
| 37.6 | 57.7 |
| 41.0 | 41.5 |
| 43.6 | 28.9 |
| 56.8 | 35.3 |